# Tb3ErSi4
Theoretical powder XRD pattern, Cu Kα (weighted mean of Kα1 and Kα2). Input: a crystal structure in OQMD, relaxed with GGA-PBE.

Crystal structure
Cell lengths 5.704, 3.838, 7.923 Å; angles 90.00, 90.10, 90.00 degrees
Space group Pm (No. 6)
One atom of each set of equivalent atoms:
1 Tb 0.000 0.000 0.000 [1 per cell]
2 Tb 0.230 0.500 0.359 [1 per cell]
3 Tb 0.500 0.500 0.858 [1 per cell]
4 Er 0.730 0.000 0.500 [1 per cell]
5 Si 0.243 0.000 0.640 [1 per cell]
6 Si 0.486 0.000 0.142 [1 per cell]
7 Si 0.743 0.500 0.219 [1 per cell]
8 Si 0.985 0.500 0.715 [1 per cell]

Peak list (12 most intense, 10° ≤ 2θ ≤ 90°, sorted by position)
d/Å, Position (°2θ), I_rel
3.961, 22.4, 27
3.254, 27.4, 31
3.184, 28.0, 40
2.954, 30.3, 100
2.756, 32.5, 73
2.684, 33.4, 81
2.482, 36.2, 42
2.397, 37.5, 45
2.199, 41.0, 37
1.919, 47.4, 24
1.730, 52.9, 35
1.561, 59.2, 31